Diffraction record for HoErSiGeOs. The powder XRD pattern is simulated, not measured: it uses a DFT-relaxed cell (GGA-PBE, OQMD) and CuKα.

Peak list (6 most intense, 5 to 70 degrees two-theta, low angle first)
27.63 deg, I 27; 33.75 deg, I 100; 37.18 deg, I 46; 40.73 deg, I 34; 41.01 deg, I 28; 42.97 deg, I 31

Cell and atoms:
a b c (Å): 5.711 5.711 10.064
angles (deg): 116.14 116.14 43.26
Fractional positions:
Ho  0.186  0.186  0.116
Ho  0.814  0.814  0.884
Er  0.006  0.006  0.673
Er  0.994  0.994  0.327
Si  0.358  0.358  0.440
Si  0.642  0.642  0.560
Ge  0.487  0.487  0.126
Ge  0.513  0.513  0.874
Os  0.266  0.266  0.624
Os  0.734  0.734  0.376